Nd2InPb: simulated powder XRD pattern (copper Kα), based on a structure optimized by DFT (GGA-PBE).
No peak broadening, texture or thermal motion is included.

Structure:
a b c (Å): 4.466 4.737 11.902
angles (deg): 90.00 90.00 90.00
Atoms (fractional coordinates):
1 Nd 0.000 0.000 0.000
2 Nd 0.000 0.500 0.500
3 Nd 0.500 0.000 0.273
4 Nd 0.500 0.500 0.773
5 In 0.500 0.000 0.547
6 In 0.500 0.500 0.047
7 Pb 0.000 0.000 0.722
8 Pb 0.000 0.500 0.222

Peak list (12 most intense, 15 to 90 degrees two-theta, low angle first)
d_spacing	I (rel.)	h k l
3.135	100.0	1 1 1
3.041	16.6	0 1 3
2.976	31.3	0 0 4
2.514	81.3	1 1 3
2.476	20.4	1 0 4
2.368	28.1	0 2 0
2.233	23.7	2 0 0
1.853	16.1	0 2 4
1.786	14.3	2 0 4
1.625	17.6	2 2 0
1.426	13.6	2 2 4
1.411	15.5	1 0 8